For Rb3Al2P3O12, DFT lattice parameters and positions (GGA-PBE) gives the theoretical powder diffractogram in this record (CuKα).

Peak list (10 most intense, 2θ from 10° to 90°, in order of rising 2θ)
22.44 deg, intensity 100.0
22.79 deg, intensity 89.9
27.09 deg, intensity 31.3
27.65 deg, intensity 71.5
28.34 deg, intensity 40.8
28.62 deg, intensity 62.4
28.87 deg, intensity 30.3
30.57 deg, intensity 44.5
31.96 deg, intensity 44.2
36.99 deg, intensity 32.5

Structural model:
Cell: 17.333 8.828 8.988 Å, 90.00 90.00 90.00°
Space group Cmc2_1 (No. 36)
Unique sites:
Rb: 0.000 0.133 0.000 (multiplicity 4)
Rb: 0.114 0.449 0.314 (multiplicity 8)
Al: 0.168 0.152 0.659 (multiplicity 8)
P: 0.000 0.265 0.596 (multiplicity 4)
P: 0.205 0.171 0.998 (multiplicity 8)
O: 0.000 0.200 0.439 (multiplicity 4)
O: 0.000 0.437 0.605 (multiplicity 4)
O: 0.071 0.199 0.690 (multiplicity 8)
O: 0.150 0.301 0.026 (multiplicity 8)
O: 0.173 0.023 0.069 (multiplicity 8)
O: 0.212 0.302 0.560 (multiplicity 8)
O: 0.217 0.135 0.830 (multiplicity 8)

For RbAl3P6O20, DFT lattice parameters and positions (GGA-PBE) gives the theoretical powder diffractogram in this record (CuKα).

Peak list (10 most intense, 2θ from 10° to 90°, in order of rising 2θ)
18.42 deg, intensity 40.1
22.31 deg, intensity 43.1
23.04 deg, intensity 100.0
23.37 deg, intensity 33.7
23.50 deg, intensity 52.4
26.68 deg, intensity 66.8
26.79 deg, intensity 46.6
29.56 deg, intensity 53.6
31.60 deg, intensity 30.2
37.26 deg, intensity 30.2

Structural model:
Cell: 10.034 13.124 12.089 Å, 90.00 90.00 90.00°
Space group C222_1 (No. 20)
Unique sites:
Rb: 0.022 0.000 0.000 (multiplicity 4)
Al: 0.000 0.208 0.250 (multiplicity 4)
Al: 0.000 0.256 0.750 (multiplicity 4)
Al: 0.133 0.500 0.000 (multiplicity 4)
P: 0.051 0.296 0.488 (multiplicity 8)
P: 0.231 0.363 0.317 (multiplicity 8)
P: 0.238 0.433 0.777 (multiplicity 8)
O: 0.010 0.212 0.408 (multiplicity 8)
O: 0.036 0.391 0.018 (multiplicity 8)
O: 0.071 0.255 0.603 (multiplicity 8)
O: 0.122 0.150 0.798 (multiplicity 8)
O: 0.127 0.104 0.240 (multiplicity 8)
O: 0.127 0.356 0.784 (multiplicity 8)
O: 0.136 0.308 0.242 (multiplicity 8)
O: 0.196 0.483 0.315 (multiplicity 8)
O: 0.199 0.336 0.445 (multiplicity 8)
O: 0.247 0.491 0.889 (multiplicity 8)

For AlP2RhO, DFT lattice parameters and positions (GGA-PBE) gives the theoretical powder diffractogram in this record (CuKα).

Peak list (10 most intense, 2θ from 10° to 90°, in order of rising 2θ)
18.45 deg, intensity 46.1
26.20 deg, intensity 42.6
32.87 deg, intensity 82.6
37.40 deg, intensity 94.7
37.95 deg, intensity 100.0
50.63 deg, intensity 49.5
53.92 deg, intensity 30.9
67.83 deg, intensity 32.7
68.93 deg, intensity 28.8
81.14 deg, intensity 18.2

Structural model:
Cell: 4.810 4.810 3.306 Å, 90.00 90.00 90.00°
Space group P4/mmm (No. 123)
Unique sites:
Al: 0.000 0.000 0.000 (multiplicity 1)
P: 0.000 0.500 0.000 (multiplicity 2)
Rh: 0.500 0.500 0.500 (multiplicity 1)
O: 0.000 0.000 0.500 (multiplicity 1)